Starting from a cell relaxed with PBE, the PXRD pattern of Pr2Si3Ni was simulated for Cu Ka.

Main lines, low angle first (10 to 90 degrees two-theta):
20.96 deg, rel. 6.2; 25.20 deg, rel. 33.6; 33.00 deg, rel. 100.0; 42.67 deg, rel. 11.5; 44.41 deg, rel. 31.7; 50.20 deg, rel. 10.0; 56.42 deg, rel. 21.2; 63.28 deg, rel. 21.0; 71.99 deg, rel. 9.4; 74.49 deg, rel. 18.4

Cell and atoms:
Cell lengths 4.0802, 4.0802, 8.4761 Å; angles 90.00, 90.00, 120.00 degrees
Fractional positions:
Pr  0.0000  0.0000  0.2411
Pr  0.0000  0.0000  0.7589
Si  0.3333  0.6667  0.5000
Si  0.6667  0.3333  0.0000
Si  0.6667  0.3333  0.5000
Ni  0.3333  0.6667  0.0000

Starting from a cell relaxed with PBE, the PXRD pattern of Pr6Si3Ni2 was simulated for Cu Ka.

Main lines, low angle first (10 to 90 degrees two-theta):
21.23 deg, rel. 14.3; 29.93 deg, rel. 100.0; 30.05 deg, rel. 49.1; 30.84 deg, rel. 15.4; 31.00 deg, rel. 15.1; 31.11 deg, rel. 14.6; 32.45 deg, rel. 17.4; 39.45 deg, rel. 32.9; 39.71 deg, rel. 12.6; 65.72 deg, rel. 15.3

Cell and atoms:
Cell lengths 11.9564, 4.5711, 12.0442 Å; angles 90.00, 119.73, 90.00 degrees
Fractional positions:
Pr  0.0000  0.0000  0.0000
Pr  0.0028  0.5000  0.2319
Pr  0.1439  0.0000  0.5151
Pr  0.2520  0.0000  0.8637
Pr  0.2888  0.5000  0.1378
Pr  0.3830  0.5000  0.4827
Pr  0.5289  0.0000  0.7769
Pr  0.5329  0.5000  0.0106
Pr  0.6307  0.5000  0.3827
Pr  0.7552  0.5000  0.7658
Pr  0.7691  0.0000  0.2374
Pr  0.9058  0.0000  0.6279
Si  0.0523  0.5000  0.8463
Si  0.0994  0.5000  0.6679
Si  0.3243  0.5000  0.7131
Si  0.4290  0.0000  0.3298
Si  0.6109  0.0000  0.5606
Si  0.9197  0.5000  0.4452
Ni  0.2055  0.0000  0.2831
Ni  0.4766  0.0000  0.1531
Ni  0.7663  0.2504  0.0045
Ni  0.7663  0.7496  0.0045

Starting from a cell relaxed with PBE, the PXRD pattern of Pr7Si5Ni2 was simulated for Cu Ka.

Main lines, low angle first (10 to 90 degrees two-theta):
21.95 deg, rel. 24.7; 27.60 deg, rel. 26.6; 28.40 deg, rel. 36.0; 30.19 deg, rel. 33.2; 30.72 deg, rel. 99.0; 31.01 deg, rel. 100.0; 32.40 deg, rel. 57.6; 39.62 deg, rel. 43.2; 41.92 deg, rel. 49.3; 43.61 deg, rel. 25.1

Cell and atoms:
Cell lengths 23.2757, 4.3104, 13.7513 Å; angles 90.00, 90.00, 90.00 degrees
Fractional positions:
Pr  0.0205  0.2500  0.1165
Pr  0.0681  0.2500  0.5432
Pr  0.1035  0.7500  0.3099
Pr  0.1183  0.7500  0.7509
Pr  0.1332  0.7500  0.0260
Pr  0.2246  0.2500  0.4002
Pr  0.2378  0.2500  0.6655
Pr  0.2622  0.7500  0.1655
Pr  0.2754  0.7500  0.9002
Pr  0.3668  0.2500  0.5260
Pr  0.3817  0.2500  0.2509
Pr  0.3965  0.2500  0.8099
Pr  0.4319  0.7500  0.0432
Pr  0.4795  0.7500  0.6165
Pr  0.5205  0.2500  0.3835
Pr  0.5681  0.2500  0.9568
Pr  0.6035  0.7500  0.1901
Pr  0.6183  0.7500  0.7491
Pr  0.6332  0.7500  0.4740
Pr  0.7246  0.2500  0.0998
Pr  0.7378  0.2500  0.8345
Pr  0.7622  0.7500  0.3345
Pr  0.7754  0.7500  0.5998
Pr  0.8668  0.2500  0.9740
Pr  0.8817  0.2500  0.2491
Pr  0.8965  0.2500  0.6901
Pr  0.9319  0.7500  0.4568
Pr  0.9795  0.7500  0.8835
Si  0.0044  0.2500  0.3413
Si  0.0728  0.2500  0.8951
Si  0.1641  0.2500  0.1814
Si  0.1668  0.7500  0.5341
Si  0.1797  0.2500  0.8788
Si  0.3203  0.7500  0.3788
Si  0.3332  0.2500  0.0341
Si  0.3359  0.7500  0.6814
Si  0.4272  0.7500  0.3951
Si  0.4956  0.7500  0.8413
Si  0.5044  0.2500  0.1587
Si  0.5728  0.2500  0.6049
Si  0.6641  0.2500  0.3186
Si  0.6668  0.7500  0.9659
Si  0.6797  0.2500  0.6212
Si  0.8203  0.7500  0.1212
Si  0.8332  0.2500  0.4659
Si  0.8359  0.7500  0.8186
Si  0.9272  0.7500  0.1049
Si  0.9956  0.7500  0.6587
Ni  0.0197  0.2500  0.7440
Ni  0.2280  0.2500  0.0328
Ni  0.2720  0.7500  0.5328
Ni  0.4803  0.7500  0.2440
Ni  0.5197  0.2500  0.7560
Ni  0.7280  0.2500  0.4672
Ni  0.7720  0.7500  0.9672
Ni  0.9803  0.7500  0.2560

Starting from a cell relaxed with PBE, the PXRD pattern of PrSi2Ni was simulated for Cu Ka.

Main lines, low angle first (10 to 90 degrees two-theta):
21.59 deg, rel. 27.5; 24.42 deg, rel. 26.9; 30.91 deg, rel. 29.3; 31.20 deg, rel. 85.2; 34.71 deg, rel. 82.0; 34.89 deg, rel. 100.0; 39.62 deg, rel. 41.5; 43.41 deg, rel. 37.2; 44.57 deg, rel. 34.4; 57.69 deg, rel. 36.9

Cell and atoms:
Cell lengths 8.4938, 8.4938, 4.0661 Å; angles 90.00, 90.00, 151.59 degrees
Fractional positions:
Pr  0.1066  0.8934  0.7500
Pr  0.8934  0.1066  0.2500
Si  0.2500  0.7500  0.2500
Si  0.4590  0.5410  0.7500
Si  0.5410  0.4590  0.2500
Si  0.7500  0.2500  0.7500
Ni  0.3183  0.6817  0.7500
Ni  0.6817  0.3183  0.2500

Starting from a cell relaxed with PBE, the PXRD pattern of PrSiNi was simulated for Cu Ka.

Main lines, low angle first (10 to 90 degrees two-theta):
22.26 deg, rel. 14.6; 28.71 deg, rel. 45.4; 32.99 deg, rel. 100.0; 38.72 deg, rel. 45.9; 43.45 deg, rel. 35.7; 50.58 deg, rel. 19.6; 52.91 deg, rel. 16.4; 59.59 deg, rel. 25.2; 68.84 deg, rel. 15.2; 73.09 deg, rel. 19.2

Cell and atoms:
Cell lengths 7.6014, 7.6014, 7.6014 Å; angles 148.20, 148.20, 45.60 degrees
Fractional positions:
Pr  0.0000  0.0000  0.0000
Pr  0.7500  0.2500  0.5000
Si  0.1690  0.6690  0.5000
Si  0.4190  0.4190  0.0000
Ni  0.3379  0.8379  0.5000
Ni  0.5879  0.5879  0.0000

Starting from a cell relaxed with PBE, the PXRD pattern of PrNi4Sn2 was simulated for Cu Ka.

Main lines, low angle first (10 to 90 degrees two-theta):
27.99 deg, rel. 28.4; 28.30 deg, rel. 14.9; 32.55 deg, rel. 40.0; 32.91 deg, rel. 13.8; 36.93 deg, rel. 93.6; 43.39 deg, rel. 100.0; 50.26 deg, rel. 17.1; 55.80 deg, rel. 15.1; 60.92 deg, rel. 12.2; 75.80 deg, rel. 25.2

Cell and atoms:
Cell lengths 6.7149, 6.7149, 6.7149 Å; angles 110.05, 110.05, 108.31 degrees
Fractional positions:
Pr  0.2500  0.2500  0.0000
Pr  0.7500  0.7500  0.0000
Ni  0.0264  0.5264  0.2263
Ni  0.1999  0.9736  0.5000
Ni  0.3001  0.8001  0.7737
Ni  0.4736  0.6999  0.5000
Ni  0.5264  0.3001  0.5000
Ni  0.6999  0.1999  0.2263
Ni  0.8001  0.0264  0.5000
Ni  0.9736  0.4736  0.7737
Sn  0.1606  0.3394  0.5000
Sn  0.3394  0.8394  0.1788
Sn  0.6606  0.1606  0.8212
Sn  0.8394  0.6606  0.5000